No. 1
The following is a computed X-ray powder pattern of PuCoC2. It was derived from a crystal structure in the Materials Project, relaxed with PBE, using Cu Kα (weighted mean of Kα1 and Kα2).
Lines closer than 0.1° are merged.

Crystal structure
Lattice parameters (Å, degrees): 3.6316 4.5205 5.9783 90.00 90.00 90.00
Space group Amm2 (No. 38)
Symmetry-distinct sites (fractional):
Pu 0.0000 0.0000 0.0000
Co 0.5000 0.0000 0.6121
C 0.5000 0.1544 0.3046

Top 6 peaks for 15° ≤ 2θ ≤ 90°, most intense first:
- 2θ = 35.07°, rel. 100, hkl 1 1 1
- 2θ = 24.69°, rel. 49, hkl 0 1 1
- 2θ = 39.03°, rel. 27, hkl 1 0 2
- 2θ = 29.89°, rel. 25, hkl 0 0 2
- 2θ = 39.88°, rel. 18, hkl 0 2 0
- 2θ = 50.02°, rel. 18, hkl 0 1 3



No. 2
The following is a computed X-ray powder pattern of Sc3CoC4. It was derived from a crystal structure in the Materials Project, relaxed with PBE, using Cu Kα (weighted mean of Kα1 and Kα2).
Lines closer than 0.1° are merged.

Crystal structure
Lattice parameters (Å, degrees): 3.4312 4.3438 11.9820 90.00 90.00 90.00
Space group Immm (No. 71)
Symmetry-distinct sites (fractional):
Sc 0.0000 0.0000 0.0000
Sc 0.0000 0.5000 0.1878
Co 0.0000 0.0000 0.5000
C 0.0000 0.3330 0.3763

Top 6 peaks for 15° ≤ 2θ ≤ 90°, most intense first:
- 2θ = 36.59°, rel. 100, hkl 1 1 2
- 2θ = 45.29°, rel. 29, hkl 1 1 4
- 2θ = 41.58°, rel. 18, hkl 0 2 0
- 2θ = 72.62°, rel. 17, hkl 1 3 2
- 2θ = 53.40°, rel. 14, hkl 2 0 0
- 2θ = 43.11°, rel. 14, hkl 0 1 5